The following is a theoretical powder diffraction line list of SmDyYAl. It was derived from a cell relaxed with GGA-PBE, using Cu Kα, 1.54184 Å.
Neutral-atom scattering factors, no anomalous dispersion.

Structural model:
Cell lengths 3.531, 3.531, 9.084 Å; angles 90.00, 90.00, 90.00 degrees
Space group P4mm (No. 99)
Inequivalent atoms, fractional coordinates:
Sm 0.000 0.000 0.000
Dy 0.500 0.500 0.287
Y 0.500 0.500 0.709
Al 0.000 0.000 0.498

Main lines, in order of rising 2θ (2θ = 10–80°):
two_theta	intensity
27.1	37
29.5	17
32.1	100
36.0	42
47.2	19
51.8	15
57.0	16
62.2	30